Record 1
Ho3Th2In2: theoretical X-ray powder pattern (CuKα), based on a DFT-relaxed cell (GGA-PBE, Alexandria).

Cell and atoms:
Cell: 4.7554 24.6697 3.4565 Å, 90.00 90.00 90.00°
Space group Cmmm (No. 65)
Asymmetric unit:
1 Ho 0.0000 0.0000 0.0000
2 Ho 0.0000 0.1358 0.0000
3 Th 0.0000 0.2878 0.5000
4 In 0.0000 0.4303 0.5000

Most intense lines, 15° ≤ 2θ ≤ 90°, most intense first:
31.6°, I 1000, hkl 1 7 0
32.2°, I 692, hkl 1 1 1
33.9°, I 344, hkl 0 6 1
37.8°, I 319, hkl 2 0 0
63.0°, I 280, hkl 1 7 2
39.1°, I 274, hkl 0 8 1
55.6°, I 198, hkl 2 8 1
65.9°, I 178, hkl 1 15 1
26.8°, I 152, hkl 0 2 1
88.1°, I 141, hkl 3 7 2
51.7°, I 131, hkl 2 6 1
64.5°, I 131, hkl 3 7 0

***

Record 2
Ho3ThIn: theoretical X-ray powder pattern (CuKα), based on a DFT-relaxed cell (GGA-PBE, Alexandria).

Cell and atoms:
Cell: 4.8737 25.0782 4.8208 Å, 90.00 90.00 90.00°
Space group Cmcm (No. 63)
Asymmetric unit:
1 Ho 0.0000 0.0501 0.2500
2 Ho 0.0000 0.2507 0.2500
3 Ho 0.0000 0.4468 0.2500
4 Th 0.0000 0.1501 0.7500
5 In 0.0000 0.3483 0.7500

Most intense lines, 15° ≤ 2θ ≤ 90°, most intense first:
31.6°, I 1000, hkl 1 5 1
35.8°, I 178, hkl 0 10 0
36.9°, I 166, hkl 2 0 0
37.3°, I 161, hkl 0 0 2
61.7°, I 146, hkl 1 15 1
63.2°, I 139, hkl 3 5 1
63.7°, I 135, hkl 1 5 3
52.4°, I 121, hkl 2 10 0
66.0°, I 121, hkl 2 10 2
52.7°, I 119, hkl 0 10 2
53.5°, I 115, hkl 2 0 2
85.8°, I 60, hkl 3 15 1